1.
Theoretical X-ray diffraction stick pattern of Ir2PbF8 for Cu Kα X-rays, from a structure optimized by DFT (GGA-PBE).
Kinematic intensities with the Lorentz-polarization factor, no thermal factor.

Structure:
```
Ir2PbF8
1.0
4.0763 0.0000 0.0000
2.0170 6.2580 0.0000
0.0207 3.2845 6.4742
Ir Pb F
2 1 8
direct
0.1055 0.2889 0.1167 Ir
0.8945 0.7111 0.8833 Ir
0.5000 0.5000 0.5000 Pb
0.0706 0.3590 0.3621 F
0.1527 0.1964 0.8971 F
0.2831 0.9312 0.3339 F
0.3872 0.7262 0.8471 F
0.6128 0.2738 0.1529 F
0.7169 0.0688 0.6661 F
0.8473 0.8036 0.1029 F
0.9294 0.6410 0.6379 F
```

Largest 10 diffraction maxima, by angle, 5 to 70 degrees two-theta:
- d 5.581, intensity 338
- d 3.593, intensity 522
- d 3.546, intensity 1000
- d 3.513, intensity 251
- d 2.902, intensity 117
- d 2.223, intensity 219
- d 2.065, intensity 260
- d 2.051, intensity 115
- d 2.038, intensity 184
- d 1.773, intensity 148

2.
Theoretical X-ray diffraction stick pattern of Tm3HfAl8 for Cu Kα X-rays, from a structure optimized by DFT (GGA-PBE).
Kinematic intensities with the Lorentz-polarization factor, no thermal factor.

Structure:
```
Tm3HfAl8
1.0
2.7224 1.5718 8.9184
-2.7224 1.5718 8.9184
0.0000 -3.1436 8.9184
Tm Hf Al
3 1 8
direct
0.0000 0.0000 0.0000 Tm
0.1254 0.1254 0.1254 Tm
0.5013 0.5013 0.5013 Tm
0.6256 0.6256 0.6256 Hf
0.0602 0.5621 0.5621 Al
0.0642 0.0642 0.5651 Al
0.0642 0.5651 0.0642 Al
0.3129 0.3129 0.3129 Al
0.5621 0.0602 0.5621 Al
0.5621 0.5621 0.0602 Al
0.5651 0.0642 0.0642 Al
0.8132 0.8132 0.8132 Al
```

Largest 10 diffraction maxima, by angle, 5 to 70 degrees two-theta:
- d 4.450, intensity 666
- d 2.725, intensity 1000
- d 2.324, intensity 961
- d 1.927, intensity 87
- d 1.770, intensity 86
- d 1.576, intensity 97
- d 1.572, intensity 289
- d 1.483, intensity 236
- d 1.364, intensity 102
- d 1.361, intensity 102

3.
Theoretical X-ray diffraction stick pattern of ZnTcSb for Cu Kα X-rays, from a structure optimized by DFT (GGA-PBE).
Kinematic intensities with the Lorentz-polarization factor, no thermal factor.

Structure:
```
ZnTcSb
1.0
2.5903 -6.1421 0.0000
2.5903 6.1421 0.0000
0.0000 0.0000 6.9330
Zn Tc Sb
4 4 4
direct
0.1904 0.3096 0.2500 Zn
0.3096 0.1904 0.7500 Zn
0.6904 0.8096 0.2500 Zn
0.8096 0.6904 0.7500 Zn
0.1032 0.8968 0.4204 Tc
0.3968 0.6032 0.9204 Tc
0.6032 0.3968 0.0796 Tc
0.8968 0.1032 0.5796 Tc
0.1837 0.8163 0.0551 Sb
0.3163 0.6837 0.5551 Sb
0.6837 0.3163 0.4449 Sb
0.8163 0.1837 0.9449 Sb
```

Largest 10 diffraction maxima, by angle, 5 to 70 degrees two-theta:
- d 3.019, intensity 398
- d 2.915, intensity 409
- d 2.808, intensity 270
- d 2.590, intensity 291
- d 2.356, intensity 421
- d 2.257, intensity 549
- d 2.163, intensity 758
- d 2.114, intensity 1000
- d 2.075, intensity 647
- d 1.384, intensity 248

4.
Theoretical X-ray diffraction stick pattern of La7Dy3Tm for Cu Kα X-rays, from a structure optimized by DFT (GGA-PBE).
Kinematic intensities with the Lorentz-polarization factor, no thermal factor.

Structure:
```
La7Dy3Tm
1.0
7.0838 0.0000 0.0000
-3.3265 9.6690 0.0000
-1.8212 -3.7344 11.3398
La Dy Tm
14 6 2
direct
0.0000 0.0000 0.0000 La
0.0215 0.8589 0.2437 La
0.1519 0.4893 0.7092 La
0.1802 0.3508 0.9785 La
0.2336 0.1255 0.7399 La
0.3339 0.8762 0.5186 La
0.4120 0.5429 0.4896 La
0.4626 0.9644 0.9005 La
0.5356 0.9478 0.2040 La
0.6401 0.4226 0.7299 La
0.7059 0.3863 0.0357 La
0.8002 0.8813 0.4826 La
0.8784 0.5509 0.4363 La
0.9588 0.2660 0.2373 La
0.2082 0.1901 0.4766 Dy
0.3655 0.6143 0.2339 Dy
0.4236 0.2603 0.2373 Dy
0.5832 0.6753 0.9740 Dy
0.7727 0.1319 0.7403 Dy
0.8411 0.7770 0.7305 Dy
0.0858 0.6740 0.9737 Tm
0.7148 0.2082 0.4782 Tm
```

Largest 10 diffraction maxima, by angle, 5 to 70 degrees two-theta:
- d 3.142, intensity 212
- d 2.929, intensity 282
- d 2.890, intensity 399
- d 2.881, intensity 433
- d 2.855, intensity 639
- d 2.836, intensity 1000
- d 2.817, intensity 674
- d 2.747, intensity 625
- d 1.770, intensity 201
- d 1.503, intensity 191

5.
Theoretical X-ray diffraction stick pattern of Tc2SbSe for Cu Kα X-rays, from a structure optimized by DFT (GGA-PBE).
Kinematic intensities with the Lorentz-polarization factor, no thermal factor.

Structure:
```
Tc2SbSe
1.0
3.1549 0.0000 0.0000
0.0000 4.6855 0.0000
0.0000 0.0000 4.7788
Tc Sb Se
2 1 1
direct
0.0000 0.0000 0.0000 Tc
0.5000 0.5000 0.1835 Tc
0.0000 0.5000 0.7069 Sb
0.5000 0.0000 0.3910 Se
```

Largest 10 diffraction maxima, by angle, 5 to 70 degrees two-theta:
- d 3.346, intensity 114
- d 2.633, intensity 692
- d 2.343, intensity 533
- d 2.295, intensity 1000
- d 2.129, intensity 639
- d 1.765, intensity 125
- d 1.750, intensity 400
- d 1.577, intensity 152
- d 1.422, intensity 83
- d 1.361, intensity 111

6.
Theoretical X-ray diffraction stick pattern of Tb2Nd2Sc5 for Cu Kα X-rays, from a structure optimized by DFT (GGA-PBE).
Kinematic intensities with the Lorentz-polarization factor, no thermal factor.

Structure:
```
Tb2Nd2Sc5
1.0
-5.8906 4.2411 5.2192
5.8906 -4.2411 5.2192
5.8906 4.2411 -5.2192
Tb Nd Sc
4 4 10
direct
0.1254 0.1044 0.2299 Tb
0.1254 0.3956 0.5210 Tb
0.8746 0.6044 0.4790 Tb
0.8746 0.8956 0.7701 Tb
0.5750 0.0750 0.5000 Nd
0.5750 0.5750 0.0000 Nd
0.5842 0.4356 0.6487 Nd
0.7869 0.9356 0.3513 Nd
0.0182 0.4194 0.8044 Sc
0.0182 0.7138 0.0988 Sc
0.2415 0.1813 0.8102 Sc
0.2415 0.9314 0.5602 Sc
0.2792 0.8278 0.9514 Sc
0.3712 0.4314 0.1898 Sc
0.3712 0.6813 0.4398 Sc
0.6150 0.2138 0.1956 Sc
0.6150 0.9194 0.9012 Sc
0.8764 0.3278 0.0486 Sc
```

Largest 10 diffraction maxima, by angle, 5 to 70 degrees two-theta:
- d 6.884, intensity 595
- d 5.219, intensity 391
- d 3.219, intensity 651
- d 2.943, intensity 783
- d 2.778, intensity 1000
- d 2.749, intensity 462
- d 2.729, intensity 494
- d 2.688, intensity 921
- d 2.623, intensity 799
- d 2.565, intensity 399

7.
Theoretical X-ray diffraction stick pattern of Na2AcBS4 for Cu Kα X-rays, from a structure optimized by DFT (GGA-PBE).
Kinematic intensities with the Lorentz-polarization factor, no thermal factor.

Structure:
```
Na2AcBS4
1.0
5.5500 -6.3165 0.0000
5.5500 6.3165 0.0000
-5.3296 0.0000 6.1663
Na Ac B S
4 2 2 8
direct
0.0000 0.0000 0.0000 Na
0.0000 0.0000 0.5000 Na
0.0000 0.5000 0.0000 Na
0.5000 0.0000 0.5000 Na
0.0000 0.5000 0.5000 Ac
0.5000 0.0000 0.0000 Ac
0.5000 0.5000 0.0000 B
0.5000 0.5000 0.5000 B
0.1941 0.7718 0.9747 S
0.2282 0.8059 0.5253 S
0.3217 0.3295 0.4469 S
0.3295 0.3217 0.9469 S
0.6705 0.6783 0.0531 S
0.6783 0.6705 0.5531 S
0.7718 0.1941 0.4747 S
0.8059 0.2282 0.0253 S
```

Largest 10 diffraction maxima, by angle, 5 to 70 degrees two-theta:
- d 6.822, intensity 1000
- d 6.317, intensity 427
- d 3.732, intensity 442
- d 3.442, intensity 221
- d 3.411, intensity 249
- d 3.158, intensity 313
- d 3.083, intensity 313
- d 2.772, intensity 263
- d 2.539, intensity 249
- d 2.206, intensity 205

8.
Theoretical X-ray diffraction stick pattern of SbTeN2 for Cu Kα X-rays, from a structure optimized by DFT (GGA-PBE).
Kinematic intensities with the Lorentz-polarization factor, no thermal factor.

Structure:
```
SbTeN2
1.0
3.8702 0.0000 0.0000
-0.0703 3.8988 0.0000
-1.7253 -1.3715 9.7621
Sb Te N
1 1 2
direct
0.0000 0.0000 0.0000 Sb
0.4416 0.4542 0.8706 Te
0.4118 0.5887 0.3917 N
0.5986 0.4640 0.4663 N
```

Largest 10 diffraction maxima, by angle, 5 to 70 degrees two-theta:
- d 9.762, intensity 1000
- d 4.881, intensity 225
- d 3.256, intensity 64
- d 2.842, intensity 57
- d 2.772, intensity 153
- d 2.720, intensity 119
- d 2.682, intensity 112
- d 2.656, intensity 81
- d 2.582, intensity 65
- d 1.945, intensity 55

9.
Theoretical X-ray diffraction stick pattern of PmMg2ZnAg2 for Cu Kα X-rays, from a structure optimized by DFT (GGA-PBE).
Kinematic intensities with the Lorentz-polarization factor, no thermal factor.

Structure:
```
PmMg2ZnAg2
1.0
-2.6055 2.6055 5.5767
2.6055 -2.6055 5.5767
2.6055 2.6055 -5.5767
Pm Mg Zn Ag
1 2 1 2
direct
0.0000 0.0000 0.0000 Pm
0.2500 0.7500 0.5000 Mg
0.7500 0.2500 0.5000 Mg
0.5000 0.5000 0.0000 Zn
0.2771 0.2771 0.0000 Ag
0.7229 0.7229 0.0000 Ag
```

Largest 10 diffraction maxima, by angle, 5 to 70 degrees two-theta:
- d 3.685, intensity 1000
- d 3.027, intensity 270
- d 2.788, intensity 312
- d 2.606, intensity 640
- d 2.223, intensity 385
- d 1.904, intensity 401
- d 1.842, intensity 223
- d 1.648, intensity 193
- d 1.537, intensity 196
- d 1.419, intensity 176

10.
Theoretical X-ray diffraction stick pattern of ThBRh6 for Cu Kα X-rays, from a structure optimized by DFT (GGA-PBE).
Kinematic intensities with the Lorentz-polarization factor, no thermal factor.

Structure:
```
ThBRh6
1.0
2.8016 1.6175 4.8181
-2.8016 1.6175 4.8181
0.0000 -3.2350 4.8181
Th B Rh
1 1 6
direct
0.0000 0.0000 0.0000 Th
0.5000 0.5000 0.5000 B
0.0687 0.5978 0.5978 Rh
0.4022 0.4022 0.9313 Rh
0.4022 0.9313 0.4022 Rh
0.5978 0.0687 0.5978 Rh
0.5978 0.5978 0.0687 Rh
0.9313 0.4022 0.4022 Rh
```

Largest 10 diffraction maxima, by angle, 5 to 70 degrees two-theta:
- d 2.898, intensity 488
- d 2.484, intensity 310
- d 2.422, intensity 203
- d 2.393, intensity 1000
- d 2.300, intensity 416
- d 1.858, intensity 108
- d 1.827, intensity 297
- d 1.549, intensity 187
- d 1.401, intensity 229
- d 1.371, intensity 120

11.
Theoretical X-ray diffraction stick pattern of Cd2Ga4Ag3 for Cu Kα X-rays, from a structure optimized by DFT (GGA-PBE).
Kinematic intensities with the Lorentz-polarization factor, no thermal factor.

Structure:
```
Cd2Ga4Ag3
1.0
3.0857 0.0000 0.0000
-1.5428 2.6723 0.0000
0.0000 0.0000 20.9715
Cd Ga Ag
2 4 3
direct
0.0000 0.0000 0.0000 Cd
0.0000 0.0000 0.2252 Cd
0.0000 0.0000 0.3534 Ga
0.0000 0.0000 0.5637 Ga
0.3333 0.6667 0.6721 Ga
0.3333 0.6667 0.8845 Ga
0.0000 0.0000 0.7792 Ag
0.3333 0.6667 0.1128 Ag
0.3333 0.6667 0.4572 Ag
```

Largest 10 diffraction maxima, by angle, 5 to 70 degrees two-theta:
- d 6.990, intensity 87
- d 2.672, intensity 533
- d 2.590, intensity 100
- d 2.496, intensity 188
- d 2.381, intensity 642
- d 2.330, intensity 396
- d 2.254, intensity 1000
- d 2.123, intensity 103
- d 1.756, intensity 255
- d 1.543, intensity 356

12.
Theoretical X-ray diffraction stick pattern of ScZn4Pt2 for Cu Kα X-rays, from a structure optimized by DFT (GGA-PBE).
Kinematic intensities with the Lorentz-polarization factor, no thermal factor.

Structure:
```
ScZn4Pt2
1.0
7.2970 0.0000 0.0000
0.0000 7.2970 0.0000
0.0000 0.0000 4.3234
Sc Zn Pt
2 8 4
direct
0.0000 0.0000 0.0000 Sc
0.5000 0.5000 0.5000 Sc
0.1096 0.3610 0.5000 Zn
0.1390 0.6096 0.0000 Zn
0.3610 0.1096 0.5000 Zn
0.3904 0.8610 0.0000 Zn
0.6096 0.1390 0.0000 Zn
0.6390 0.8904 0.5000 Zn
0.8610 0.3904 0.0000 Zn
0.8904 0.6390 0.5000 Zn
0.2070 0.7930 0.5000 Pt
0.2930 0.2930 0.0000 Pt
0.7070 0.7070 0.0000 Pt
0.7930 0.2070 0.5000 Pt
```

Largest 10 diffraction maxima, by angle, 5 to 70 degrees two-theta:
- d 3.649, intensity 607
- d 3.314, intensity 564
- d 3.263, intensity 346
- d 2.605, intensity 374
- d 2.580, intensity 317
- d 2.215, intensity 584
- d 2.162, intensity 484
- d 2.036, intensity 1000
- d 1.770, intensity 329
- d 1.369, intensity 281